No. 1
Starting from the GGA-PBE geometry in Alexandria, the X-ray diffraction stick pattern of CdTePt2 was simulated for λ = 1.5418 Å (Cu Kα).
Lines closer than 0.1° are merged.

Main lines, most intense first (15 to 90 degrees two-theta):
2θ 33.9, I = 100
2θ 39.9, I = 91
2θ 64.7, I = 44
2θ 48.7, I = 36
2θ 47.0, I = 21
2θ 71.2, I = 17
2θ 81.3, I = 16
2θ 31.6, I = 16
2θ 71.3, I = 12
2θ 59.2, I = 11

Structure:
```
CdTePt2
1.0
3.741 0.000 0.000
0.000 3.741 0.000
0.000 0.000 5.665
Cd Te Pt
1 1 2
Cartesian
0.000 0.000 0.000
1.871 1.871 3.601
0.000 0.000 2.775
1.871 1.871 0.956
```

---

No. 2
Starting from the GGA-PBE geometry in Alexandria, the X-ray diffraction stick pattern of ThCd3Pt8 was simulated for λ = 1.5418 Å (Cu Kα).
Lines closer than 0.1° are merged.

Main lines, most intense first (15 to 90 degrees two-theta):
2θ 39.6, I = 100
2θ 39.0, I = 96
2θ 36.2, I = 54
2θ 43.7, I = 34
2θ 69.1, I = 30
2θ 66.6, I = 28
2θ 41.2, I = 24
2θ 62.9, I = 24
2θ 61.0, I = 22
2θ 83.8, I = 19

Structure:
```
ThCd3Pt8
1.0
5.437 0.000 0.000
-2.719 4.709 0.000
0.000 0.000 8.754
Th Cd Pt
1 3 8
Cartesian
0.000 0.000 0.000
0.000 0.000 3.406
2.719 1.570 4.119
2.719 1.570 7.280
0.000 1.550 5.925
-1.376 3.933 5.925
0.000 3.139 3.720
0.000 3.139 8.103
2.719 0.025 1.527
1.381 2.342 1.527
1.376 3.933 5.925
4.056 2.342 1.527
```

---

No. 3
Starting from the GGA-PBE geometry in Alexandria, the X-ray diffraction stick pattern of Th2Cd2Pt15 was simulated for λ = 1.5418 Å (Cu Kα).
Lines closer than 0.1° are merged.

Main lines, most intense first (15 to 90 degrees two-theta):
2θ 38.8, I = 100
2θ 43.5, I = 64
2θ 38.4, I = 41
2θ 39.8, I = 33
2θ 33.1, I = 27
2θ 69.5, I = 26
2θ 63.0, I = 23
2θ 83.3, I = 23
2θ 71.7, I = 18
2θ 19.0, I = 16

Structure:
```
Th2Cd2Pt15
1.0
4.683 2.704 4.524
-4.683 2.704 4.524
0.000 -5.408 4.524
Th Cd Pt
2 2 15
Cartesian
0.000 0.000 2.020
0.000 0.000 11.553
0.000 0.000 5.423
0.000 0.000 8.150
-2.342 -1.352 4.524
0.000 -2.754 4.419
-2.385 1.377 4.419
-1.496 -2.592 6.787
-2.993 0.000 6.787
-2.385 -1.377 9.154
-2.342 1.352 9.049
1.496 -2.592 6.787
0.000 2.704 4.524
-1.496 2.592 6.787
2.385 1.377 4.419
2.993 0.000 6.787
1.496 2.592 6.787
2.385 -1.377 9.154
0.000 2.754 9.154
```

---

No. 4
Starting from the GGA-PBE geometry in Alexandria, the X-ray diffraction stick pattern of Th2CdPt3 was simulated for λ = 1.5418 Å (Cu Kα).
Lines closer than 0.1° are merged.

Main lines, most intense first (15 to 90 degrees two-theta):
2θ 37.5, I = 100
2θ 67.7, I = 30
2θ 22.7, I = 20
2θ 54.1, I = 16
2θ 18.5, I = 16
2θ 32.3, I = 11
2θ 51.8, I = 10
2θ 80.1, I = 9
2θ 72.0, I = 8
2θ 34.4, I = 8

Structure:
```
Th2CdPt3
1.0
0.000 6.780 6.780
6.780 0.000 6.780
6.780 6.780 0.000
Th Cd Pt
8 4 12
Cartesian
10.349 6.600 6.600
3.211 3.211 3.211
6.959 6.959 3.211
6.959 3.211 6.959
6.600 10.349 6.600
6.600 6.600 10.349
10.349 10.349 10.349
3.211 6.959 6.959
6.780 3.390 3.390
3.390 6.780 3.390
3.390 3.390 6.780
6.780 6.780 6.780
5.085 5.085 1.803
5.085 1.803 5.085
8.366 5.085 5.085
8.474 8.474 5.193
8.474 5.193 8.474
11.756 8.474 8.474
1.803 5.085 5.085
5.085 8.366 5.085
5.085 5.085 8.366
5.193 8.474 8.474
8.474 11.756 8.474
8.474 8.474 11.756
```

---

No. 5
Starting from the GGA-PBE geometry in Alexandria, the X-ray diffraction stick pattern of ThCd3Pt2 was simulated for λ = 1.5418 Å (Cu Kα).
Lines closer than 0.1° are merged.

Main lines, most intense first (15 to 90 degrees two-theta):
2θ 32.7, I = 100
2θ 37.6, I = 62
2θ 32.9, I = 55
2θ 36.8, I = 48
2θ 45.1, I = 47
2θ 35.3, I = 37
2θ 31.6, I = 25
2θ 37.2, I = 25
2θ 40.4, I = 24
2θ 33.7, I = 24

Structure:
```
ThCd3Pt2
1.0
8.196 -2.011 0.000
8.196 2.011 0.000
-3.486 0.000 8.398
Th Cd Pt
2 6 4
Cartesian
1.780 0.000 0.276
11.125 0.000 8.122
-0.486 0.000 3.391
2.670 0.000 5.201
5.090 0.000 2.541
7.816 0.000 5.857
10.236 0.000 3.197
13.392 0.000 5.007
0.956 0.000 7.407
4.997 0.000 6.993
7.908 0.000 1.405
11.949 0.000 0.991
```

---

No. 6
Starting from the GGA-PBE geometry in Alexandria, the X-ray diffraction stick pattern of TiCdPt2 was simulated for λ = 1.5418 Å (Cu Kα).
Lines closer than 0.1° are merged.

Main lines, most intense first (15 to 90 degrees two-theta):
2θ 37.2, I = 100
2θ 41.1, I = 87
2θ 40.4, I = 82
2θ 70.1, I = 30
2θ 76.5, I = 24
2θ 68.8, I = 21
2θ 26.5, I = 21
2θ 25.6, I = 19
2θ 57.8, I = 18
2θ 54.6, I = 17

Structure:
```
TiCdPt2
1.0
6.718 0.000 0.000
0.000 2.908 0.000
0.000 0.000 6.956
Ti Cd Pt
2 2 4
Cartesian
1.680 0.000 0.145
5.039 0.000 6.812
1.680 0.000 3.387
5.039 0.000 3.569
0.126 1.454 5.447
3.233 1.454 5.447
3.485 1.454 1.509
6.592 1.454 1.509
```

---

No. 7
Starting from the GGA-PBE geometry in Alexandria, the X-ray diffraction stick pattern of Ti2CdPt was simulated for λ = 1.5418 Å (Cu Kα).
Lines closer than 0.1° are merged.

Main lines, most intense first (15 to 90 degrees two-theta):
2θ 38.9, I = 100
2θ 39.1, I = 51
2θ 27.4, I = 36
2θ 70.7, I = 33
2θ 27.1, I = 19
2θ 48.2, I = 17
2θ 56.5, I = 17
2θ 70.3, I = 15
2θ 83.6, I = 10
2θ 63.4, I = 9

Structure:
```
Ti2CdPt
1.0
3.257 0.000 0.000
0.000 3.257 0.000
0.000 0.000 6.578
Ti Cd Pt
2 1 1
Cartesian
0.000 0.000 1.464
0.000 0.000 5.114
1.629 1.629 3.289
1.629 1.629 0.000
```

---

No. 8
Starting from the GGA-PBE geometry in Alexandria, the X-ray diffraction stick pattern of Tm4CdPt5 was simulated for λ = 1.5418 Å (Cu Kα).
Lines closer than 0.1° are merged.

Main lines, most intense first (15 to 90 degrees two-theta):
2θ 37.5, I = 100
2θ 36.8, I = 55
2θ 66.7, I = 37
2θ 53.0, I = 19
2θ 68.0, I = 15
2θ 79.9, I = 10
2θ 89.7, I = 9
2θ 55.0, I = 7
2θ 78.2, I = 6
2θ 33.7, I = 3

Structure:
```
Tm4CdPt5
1.0
3.458 0.000 0.000
0.000 3.458 0.000
0.000 0.000 16.684
Tm Cd Pt
4 1 5
Cartesian
0.000 0.000 1.725
0.000 0.000 5.195
0.000 0.000 11.489
0.000 0.000 14.958
0.000 0.000 8.342
1.729 1.729 0.000
1.729 1.729 3.451
1.729 1.729 6.757
1.729 1.729 9.926
1.729 1.729 13.233
```

---

No. 9
Starting from the GGA-PBE geometry in Alexandria, the X-ray diffraction stick pattern of TmCd4Pt2 was simulated for λ = 1.5418 Å (Cu Kα).
Lines closer than 0.1° are merged.

Main lines, most intense first (15 to 90 degrees two-theta):
2θ 35.3, I = 100
2θ 34.6, I = 77
2θ 42.2, I = 52
2θ 39.5, I = 38
2θ 48.5, I = 38
2θ 40.9, I = 34
2θ 30.7, I = 33
2θ 66.2, I = 27
2θ 37.8, I = 26
2θ 39.7, I = 24

Structure:
```
TmCd4Pt2
1.0
4.287 0.000 0.000
0.000 3.757 0.000
-1.794 0.000 9.219
Tm Cd Pt
1 4 2
Cartesian
0.000 0.000 0.000
0.146 1.878 3.064
0.193 0.000 5.729
2.300 0.000 3.489
2.347 1.878 6.155
0.206 1.878 7.937
2.288 1.878 1.282
```

---

No. 10
Starting from the GGA-PBE geometry in Alexandria, the X-ray diffraction stick pattern of Y3Cd2Pt3 was simulated for λ = 1.5418 Å (Cu Kα).
Lines closer than 0.1° are merged.

Main lines, most intense first (15 to 90 degrees two-theta):
2θ 36.6, I = 100
2θ 37.7, I = 92
2θ 35.8, I = 60
2θ 26.0, I = 38
2θ 47.2, I = 27
2θ 31.0, I = 26
2θ 53.5, I = 23
2θ 76.6, I = 23
2θ 48.7, I = 20
2θ 69.4, I = 20

Structure:
```
Y3Cd2Pt3
1.0
8.509 0.000 0.000
-4.255 7.369 0.000
0.000 0.000 5.772
Y Cd Pt
6 4 6
Cartesian
-1.190 2.060 1.443
-3.065 5.309 4.329
2.379 0.000 1.443
1.190 2.060 4.329
6.130 0.000 4.329
3.065 5.309 1.443
0.000 4.913 0.000
0.000 4.913 2.886
4.255 2.456 0.000
4.255 2.456 2.886
-1.600 2.771 4.329
-2.655 4.598 1.443
3.200 0.000 4.329
1.600 2.771 1.443
5.310 0.000 1.443
2.655 4.598 4.329
```

---

No. 11
Starting from the GGA-PBE geometry in Alexandria, the X-ray diffraction stick pattern of Y4Cd3Pt was simulated for λ = 1.5418 Å (Cu Kα).
Lines closer than 0.1° are merged.

Main lines, most intense first (15 to 90 degrees two-theta):
2θ 34.3, I = 100
2θ 34.7, I = 51
2θ 61.9, I = 35
2θ 49.8, I = 18
2θ 61.3, I = 16
2θ 72.3, I = 10
2θ 48.9, I = 8
2θ 83.5, I = 8
2θ 83.3, I = 7
2θ 81.8, I = 6

Structure:
```
Y4Cd3Pt
1.0
3.661 0.000 0.000
0.000 3.661 0.000
0.000 0.000 14.914
Y Cd Pt
4 3 1
Cartesian
0.000 0.000 1.632
0.000 0.000 5.515
0.000 0.000 9.399
0.000 0.000 13.282
1.830 1.830 3.630
1.830 1.830 7.457
1.830 1.830 11.284
1.830 1.830 0.000
```

---

No. 12
Starting from the GGA-PBE geometry in Alexandria, the X-ray diffraction stick pattern of Zr5CdPt was simulated for λ = 1.5418 Å (Cu Kα).
Lines closer than 0.1° are merged.

Main lines, most intense first (15 to 90 degrees two-theta):
2θ 36.5, I = 100
2θ 33.6, I = 87
2θ 37.6, I = 76
2θ 33.2, I = 57
2θ 33.0, I = 56
2θ 34.9, I = 52
2θ 37.9, I = 47
2θ 41.8, I = 47
2θ 36.7, I = 40
2θ 49.4, I = 32

Structure:
```
Zr5CdPt
1.0
3.877 -3.786 0.000
3.877 3.786 0.000
-2.729 0.000 10.517
Zr Cd Pt
10 2 2
Cartesian
1.830 3.743 7.888
0.400 1.493 6.649
0.238 1.044 9.888
1.764 -1.493 1.391
1.603 -1.044 4.629
3.422 1.044 5.889
3.260 1.493 9.127
4.786 -1.044 0.630
4.625 -1.493 3.868
3.194 -3.743 2.629
3.194 0.832 2.629
1.830 -0.832 7.888
0.000 0.000 0.000
-1.364 0.000 5.259
```

---

No. 13
Starting from the GGA-PBE geometry in Alexandria, the X-ray diffraction stick pattern of Zr2CdPt was simulated for λ = 1.5418 Å (Cu Kα).
Lines closer than 0.1° are merged.

Main lines, most intense first (15 to 90 degrees two-theta):
2θ 35.2, I = 100
2θ 37.2, I = 87
2θ 41.1, I = 33
2θ 41.3, I = 32
2θ 43.9, I = 27
2θ 61.6, I = 19
2θ 61.8, I = 19
2θ 69.8, I = 13
2θ 70.1, I = 12
2θ 56.8, I = 12

Structure:
```
Zr2CdPt
1.0
2.980 0.000 0.000
0.000 4.129 0.000
-0.030 0.000 6.479
Zr Cd Pt
2 1 1
Cartesian
0.000 0.000 1.729
2.949 0.000 4.750
1.490 2.064 0.000
1.475 2.064 3.239
```